(1)
Calculated X-ray diffraction stick pattern
Compound: NaYPb
Radiation: Cu Kα
Structure: a structure optimized by DFT (GGA-PBE)
No peak broadening, texture or thermal motion is included.

Main lines, in order of falling intensity (2θ = 5–70°):
- 32.75°, I 100
- 10.07°, I 43
- 30.53°, I 26
- 29.33°, I 23
- 35.04°, I 22
- 20.21°, I 18
- 61.41°, I 16
- 47.14°, I 16
- 23.07°, I 14
- 18.04°, I 11

Atomic structure:
Cell lengths 17.571, 5.122, 3.878 Å; angles 90.00, 90.15, 90.00 degrees
Sites, in units of the cell vectors:
Na (0.000, 0.000, 0.000)
Na (0.000, 0.500, 0.500)
Na (0.500, 0.000, 0.500)
Na (0.500, 0.500, 0.000)
Y (0.177, 0.000, 0.500)
Y (0.323, 0.500, 0.500)
Y (0.677, 0.500, 0.500)
Y (0.823, 0.000, 0.500)
Pb (0.155, 0.500, 0.000)
Pb (0.345, 0.000, 0.000)
Pb (0.655, 0.000, 0.000)
Pb (0.845, 0.500, 0.000)

=====

(2)
Calculated X-ray diffraction stick pattern
Compound: AcThTe4
Radiation: Cu Kα
Structure: a structure optimized by DFT (GGA-PBE)
No peak broadening, texture or thermal motion is included.

Main lines, in order of falling intensity (2θ = 5–70°):
- 32.53°, I 100
- 17.06°, I 53
- 34.51°, I 44
- 27.49°, I 35
- 60.58°, I 34
- 56.74°, I 20
- 44.67°, I 19
- 49.60°, I 16
- 38.73°, I 14
- 68.13°, I 11

Atomic structure:
Cell lengths 7.351, 7.351, 8.306 Å; angles 90.00, 90.00, 90.00 degrees
Sites, in units of the cell vectors:
Ac (0.000, 0.000, 0.000)
Ac (0.500, 0.500, 0.000)
Th (0.000, 0.000, 0.500)
Th (0.500, 0.500, 0.500)
Te (0.249, 0.251, 0.265)
Te (0.249, 0.251, 0.735)
Te (0.251, 0.751, 0.265)
Te (0.251, 0.751, 0.735)
Te (0.749, 0.249, 0.265)
Te (0.749, 0.249, 0.735)
Te (0.751, 0.749, 0.265)
Te (0.751, 0.749, 0.735)

=====

(3)
Calculated X-ray diffraction stick pattern
Compound: K4As2Se5
Radiation: Cu Kα
Structure: a structure optimized by DFT (GGA-PBE)
No peak broadening, texture or thermal motion is included.

Main lines, in order of falling intensity (2θ = 5–70°):
- 26.59°, I 100
- 26.95°, I 50
- 39.82°, I 41
- 14.16°, I 33
- 21.23°, I 21
- 39.18°, I 20
- 36.56°, I 19
- 48.21°, I 16
- 15.42°, I 13
- 13.93°, I 12

Atomic structure:
Cell lengths 7.802, 22.992, 9.870 Å; angles 90.00, 122.00, 90.00 degrees
Sites, in units of the cell vectors:
K (0.232, 0.156, 0.493)
K (0.232, 0.344, 0.993)
K (0.249, 0.543, 0.994)
K (0.249, 0.957, 0.494)
K (0.250, 0.547, 0.499)
K (0.250, 0.953, 0.999)
K (0.252, 0.745, 0.495)
K (0.252, 0.755, 0.995)
K (0.748, 0.245, 0.005)
K (0.748, 0.255, 0.505)
K (0.750, 0.047, 0.001)
K (0.750, 0.453, 0.501)
K (0.751, 0.043, 0.506)
K (0.751, 0.457, 0.006)
K (0.768, 0.656, 0.007)
K (0.768, 0.844, 0.507)
As (0.157, 0.144, 0.860)
As (0.157, 0.356, 0.360)
As (0.355, 0.150, 0.171)
As (0.355, 0.350, 0.671)
As (0.645, 0.650, 0.329)
As (0.645, 0.850, 0.829)
As (0.843, 0.644, 0.640)
As (0.843, 0.856, 0.140)
Se (0.191, 0.644, 0.730)
Se (0.191, 0.856, 0.230)
Se (0.239, 0.232, 0.776)
Se (0.239, 0.268, 0.276)
Se (0.240, 0.062, 0.759)
Se (0.240, 0.438, 0.259)
Se (0.263, 0.061, 0.242)
Se (0.263, 0.439, 0.742)
Se (0.307, 0.643, 0.262)
Se (0.307, 0.857, 0.762)
Se (0.693, 0.143, 0.238)
Se (0.693, 0.357, 0.738)
Se (0.737, 0.561, 0.258)
Se (0.737, 0.939, 0.758)
Se (0.760, 0.562, 0.741)
Se (0.760, 0.938, 0.241)
Se (0.761, 0.732, 0.724)
Se (0.761, 0.768, 0.224)
Se (0.809, 0.144, 0.770)
Se (0.809, 0.356, 0.270)

=====

(4)
Calculated X-ray diffraction stick pattern
Compound: PmZrPd3
Radiation: Cu Kα
Structure: a structure optimized by DFT (GGA-PBE)
No peak broadening, texture or thermal motion is included.

Main lines, in order of falling intensity (2θ = 5–70°):
- 34.24°, I 100
- 39.20°, I 37
- 42.03°, I 23
- 66.62°, I 15
- 44.68°, I 15
- 51.54°, I 13
- 55.28°, I 11
- 50.67°, I 11
- 67.87°, I 11
- 68.61°, I 11

Atomic structure:
Cell lengths 13.712, 13.712, 4.300 Å; angles 90.00, 90.00, 165.14 degrees
Sites, in units of the cell vectors:
Pm (0.076, 0.924, 0.750)
Pm (0.924, 0.076, 0.250)
Zr (0.208, 0.792, 0.250)
Zr (0.792, 0.208, 0.750)
Pd (0.309, 0.691, 0.250)
Pd (0.373, 0.627, 0.750)
Pd (0.471, 0.529, 0.750)
Pd (0.529, 0.471, 0.250)
Pd (0.627, 0.373, 0.250)
Pd (0.691, 0.309, 0.750)

=====

(5)
Calculated X-ray diffraction stick pattern
Compound: K5As3Au3
Radiation: Cu Kα
Structure: a structure optimized by DFT (GGA-PBE)
No peak broadening, texture or thermal motion is included.

Main lines, in order of falling intensity (2θ = 5–70°):
- 17.21°, I 100
- 30.03°, I 41
- 25.75°, I 34
- 42.51°, I 21
- 49.64°, I 20
- 34.82°, I 17
- 32.75°, I 16
- 50.79°, I 11
- 46.63°, I 11
- 52.92°, I 11

Atomic structure:
Cell lengths 10.307, 10.307, 4.669 Å; angles 90.00, 90.00, 120.00 degrees
Sites, in units of the cell vectors:
K (0.000, 0.748, 0.000)
K (0.252, 0.252, 0.000)
K (0.333, 0.667, 0.000)
K (0.667, 0.333, 0.000)
K (0.748, 0.000, 0.000)
As (0.000, 0.380, 0.000)
As (0.380, 0.000, 0.000)
As (0.620, 0.620, 0.000)
Au (0.000, 0.310, 0.500)
Au (0.310, 0.000, 0.500)
Au (0.690, 0.690, 0.500)

=====

(6)
Calculated X-ray diffraction stick pattern
Compound: ZnGaFe14
Radiation: Cu Kα
Structure: a structure optimized by DFT (GGA-PBE)
No peak broadening, texture or thermal motion is included.

Main lines, in order of falling intensity (2θ = 5–70°):
- 44.48°, I 100
- 45.06°, I 48
- 65.62°, I 14
- 63.80°, I 8

Atomic structure:
Cell lengths 4.974, 4.974, 8.040 Å; angles 90.00, 90.00, 108.16 degrees
Sites, in units of the cell vectors:
Zn (0.000, 0.000, 0.000)
Ga (0.500, 0.500, 0.000)
Fe (0.000, 0.000, 0.500)
Fe (0.000, 0.500, 0.000)
Fe (0.000, 0.500, 0.500)
Fe (0.249, 0.249, 0.256)
Fe (0.249, 0.249, 0.744)
Fe (0.250, 0.750, 0.248)
Fe (0.250, 0.750, 0.752)
Fe (0.500, 0.000, 0.000)
Fe (0.500, 0.000, 0.500)
Fe (0.500, 0.500, 0.500)
Fe (0.750, 0.250, 0.248)
Fe (0.750, 0.250, 0.752)
Fe (0.751, 0.751, 0.256)
Fe (0.751, 0.751, 0.744)

=====

(7)
Calculated X-ray diffraction stick pattern
Compound: Ti5Zn4Hg
Radiation: Cu Kα
Structure: a structure optimized by DFT (GGA-PBE)
No peak broadening, texture or thermal motion is included.

Main lines, in order of falling intensity (2θ = 5–70°):
- 39.72°, I 100
- 40.55°, I 51
- 5.39°, I 45
- 58.69°, I 16
- 28.37°, I 15
- 10.80°, I 13
- 36.00°, I 13
- 32.85°, I 10
- 27.21°, I 9
- 30.44°, I 8

Atomic structure:
Cell lengths 3.146, 3.146, 16.385 Å; angles 90.00, 90.00, 90.00 degrees
Sites, in units of the cell vectors:
Ti (0.000, 0.000, 0.000)
Ti (0.000, 0.000, 0.191)
Ti (0.000, 0.000, 0.384)
Ti (0.000, 0.000, 0.616)
Ti (0.000, 0.000, 0.809)
Zn (0.500, 0.500, 0.096)
Zn (0.500, 0.500, 0.287)
Zn (0.500, 0.500, 0.713)
Zn (0.500, 0.500, 0.904)
Hg (0.500, 0.500, 0.500)

=====

(8)
Calculated X-ray diffraction stick pattern
Compound: K2TiAgO4
Radiation: Cu Kα
Structure: a structure optimized by DFT (GGA-PBE)
No peak broadening, texture or thermal motion is included.

Main lines, in order of falling intensity (2θ = 5–70°):
- 32.50°, I 100
- 28.69°, I 52
- 53.29°, I 46
- 19.00°, I 46
- 41.02°, I 32
- 60.23°, I 18
- 34.64°, I 15
- 67.29°, I 14
- 68.05°, I 10
- 59.40°, I 9

Atomic structure:
Cell lengths 6.222, 6.222, 7.068 Å; angles 90.00, 90.00, 90.00 degrees
Sites, in units of the cell vectors:
K (0.000, 0.000, 0.000)
K (0.000, 0.500, 0.250)
K (0.500, 0.000, 0.750)
K (0.500, 0.500, 0.500)
Ti (0.000, 0.500, 0.750)
Ti (0.500, 0.000, 0.250)
Ag (0.000, 0.000, 0.500)
Ag (0.500, 0.500, 0.000)
O (0.141, 0.302, 0.601)
O (0.198, 0.641, 0.899)
O (0.302, 0.859, 0.399)
O (0.359, 0.198, 0.101)
O (0.641, 0.802, 0.101)
O (0.698, 0.141, 0.399)
O (0.802, 0.359, 0.899)
O (0.859, 0.698, 0.601)

=====

(9)
Calculated X-ray diffraction stick pattern
Compound: K4HBr3
Radiation: Cu Kα
Structure: a structure optimized by DFT (GGA-PBE)
No peak broadening, texture or thermal motion is included.

Main lines, in order of falling intensity (2θ = 5–70°):
- 27.39°, I 100
- 39.13°, I 72
- 48.42°, I 25
- 63.89°, I 20
- 22.65°, I 14
- 11.76°, I 12
- 29.90°, I 10
- 64.02°, I 10
- 23.66°, I 8
- 56.48°, I 8

Atomic structure:
Cell lengths 9.225, 13.001, 4.605 Å; angles 90.00, 90.00, 90.00 degrees
Sites, in units of the cell vectors:
K (0.000, 0.238, 0.000)
K (0.000, 0.762, 0.000)
K (0.234, 0.000, 0.500)
K (0.266, 0.500, 0.500)
K (0.500, 0.262, 0.000)
K (0.500, 0.738, 0.000)
K (0.734, 0.500, 0.500)
K (0.766, 0.000, 0.500)
H (0.000, 0.000, 0.000)
H (0.500, 0.500, 0.000)
Br (0.000, 0.500, 0.000)
Br (0.250, 0.250, 0.500)
Br (0.250, 0.750, 0.500)
Br (0.500, 0.000, 0.000)
Br (0.750, 0.250, 0.500)
Br (0.750, 0.750, 0.500)

=====

(10)
Calculated X-ray diffraction stick pattern
Compound: Er6TmSc3
Radiation: Cu Kα
Structure: a structure optimized by DFT (GGA-PBE)
No peak broadening, texture or thermal motion is included.

Main lines, in order of falling intensity (2θ = 5–70°):
- 32.59°, I 100
- 33.36°, I 54
- 29.88°, I 54
- 30.27°, I 39
- 36.04°, I 37
- 35.03°, I 32
- 16.84°, I 27
- 59.64°, I 24
- 29.14°, I 22
- 34.05°, I 22

Atomic structure:
Cell lengths 11.104, 11.104, 6.175 Å; angles 90.00, 90.00, 130.49 degrees
Sites, in units of the cell vectors:
Er (0.015, 0.985, 0.500)
Er (0.104, 0.540, 0.972)
Er (0.262, 0.377, 0.717)
Er (0.302, 0.698, 0.509)
Er (0.377, 0.262, 0.217)
Er (0.460, 0.896, 0.972)
Er (0.540, 0.104, 0.472)
Er (0.623, 0.738, 0.717)
Er (0.698, 0.302, 0.009)
Er (0.738, 0.623, 0.217)
Er (0.896, 0.460, 0.472)
Er (0.985, 0.015, 0.000)
Tm (0.159, 0.841, 0.280)
Tm (0.841, 0.159, 0.780)
Sc (0.041, 0.294, 0.310)
Sc (0.294, 0.041, 0.810)
Sc (0.417, 0.583, 0.196)
Sc (0.583, 0.417, 0.696)
Sc (0.706, 0.959, 0.310)
Sc (0.959, 0.706, 0.810)

=====

(11)
Calculated X-ray diffraction stick pattern
Compound: NaAcPdO4
Radiation: Cu Kα
Structure: a structure optimized by DFT (GGA-PBE)
No peak broadening, texture or thermal motion is included.

Main lines, in order of falling intensity (2θ = 5–70°):
- 16.60°, I 100
- 28.16°, I 77
- 14.77°, I 48
- 35.70°, I 48
- 29.79°, I 44
- 53.81°, I 37
- 33.55°, I 34
- 32.06°, I 29
- 39.57°, I 27
- 31.14°, I 23

Atomic structure:
Cell lengths 6.902, 6.902, 6.902 Å; angles 123.45, 110.46, 95.69 degrees
Sites, in units of the cell vectors:
Na (0.344, 0.094, 0.250)
Na (0.656, 0.906, 0.750)
Ac (0.000, 0.500, 0.500)
Ac (0.500, 0.500, 0.000)
Pd (0.000, 0.000, 0.500)
Pd (0.000, 0.500, 0.000)
O (0.153, 0.234, 0.918)
O (0.184, 0.766, 0.418)
O (0.223, 0.252, 0.529)
O (0.223, 0.694, 0.971)
O (0.777, 0.306, 0.029)
O (0.777, 0.748, 0.471)
O (0.816, 0.234, 0.582)
O (0.847, 0.766, 0.082)

=====

(12)
Calculated X-ray diffraction stick pattern
Compound: Dy5TmRh6
Radiation: Cu Kα
Structure: a structure optimized by DFT (GGA-PBE)
No peak broadening, texture or thermal motion is included.

Main lines, in order of falling intensity (2θ = 5–70°):
- 37.19°, I 100
- 67.16°, I 28
- 37.31°, I 20
- 66.95°, I 14
- 53.75°, I 14
- 53.42°, I 7
- 26.13°, I 4
- 25.98°, I 2
- 46.00°, I 2
- 60.65°, I 1

Atomic structure:
Cell lengths 7.631, 7.631, 6.860 Å; angles 90.00, 90.00, 143.17 degrees
Sites, in units of the cell vectors:
Dy (0.000, 0.000, 0.000)
Dy (0.333, 0.667, 0.000)
Dy (0.334, 0.666, 0.500)
Dy (0.666, 0.334, 0.500)
Dy (0.667, 0.333, 0.000)
Tm (0.000, 0.000, 0.500)
Rh (0.166, 0.834, 0.251)
Rh (0.166, 0.834, 0.749)
Rh (0.500, 0.500, 0.252)
Rh (0.500, 0.500, 0.748)
Rh (0.834, 0.166, 0.251)
Rh (0.834, 0.166, 0.749)